Calculated X-ray diffraction stick pattern of TaTe4 for Cu Kα (λ = 1.5418 Å), from a structure optimized by DFT (GGA-PBE).
Kinematic intensities with the Lorentz-polarization factor, no thermal factor.

Peak list (6 most intense, 15° ≤ 2θ ≤ 90°, in order of rising 2θ)
two_theta, I (rel.)
32.03, 36
32.87, 100
37.48, 34
39.97, 25
43.21, 32
49.91, 30

Crystal structure
Cell: 9.363 9.363 20.897 Å, 90.00 90.00 90.00°
Fractional coordinates of all 60 atoms:
Ta 0.250 0.250 0.069
Ta 0.250 0.250 0.264
Ta 0.250 0.250 0.415
Ta 0.250 0.250 0.569
Ta 0.250 0.250 0.764
Ta 0.250 0.250 0.915
Ta 0.750 0.750 0.085
Ta 0.750 0.750 0.236
Ta 0.750 0.750 0.431
Ta 0.750 0.750 0.585
Ta 0.750 0.750 0.736
Ta 0.750 0.750 0.931
Te 0.009 0.165 0.336
Te 0.009 0.335 0.836
Te 0.013 0.158 0.997
Te 0.013 0.342 0.497
Te 0.036 0.154 0.666
Te 0.036 0.346 0.166
Te 0.154 0.036 0.166
Te 0.154 0.464 0.666
Te 0.158 0.013 0.497
Te 0.158 0.487 0.997
Te 0.165 0.009 0.836
Te 0.165 0.491 0.336
Te 0.335 0.009 0.336
Te 0.335 0.491 0.836
Te 0.342 0.013 0.997
Te 0.342 0.487 0.497
Te 0.346 0.036 0.666
Te 0.346 0.464 0.166
Te 0.464 0.154 0.166
Te 0.464 0.346 0.666
Te 0.487 0.158 0.497
Te 0.487 0.342 0.997
Te 0.491 0.165 0.836
Te 0.491 0.335 0.336
Te 0.509 0.665 0.664
Te 0.509 0.835 0.164
Te 0.513 0.658 0.003
Te 0.513 0.842 0.503
Te 0.536 0.654 0.334
Te 0.536 0.846 0.834
Te 0.654 0.536 0.834
Te 0.654 0.964 0.334
Te 0.658 0.513 0.503
Te 0.658 0.987 0.003
Te 0.665 0.509 0.164
Te 0.665 0.991 0.664
Te 0.835 0.509 0.664
Te 0.835 0.991 0.164
Te 0.842 0.513 0.003
Te 0.842 0.987 0.503
Te 0.846 0.536 0.334
Te 0.846 0.964 0.834
Te 0.964 0.654 0.834
Te 0.964 0.846 0.334
Te 0.987 0.658 0.503
Te 0.987 0.842 0.003
Te 0.991 0.665 0.164
Te 0.991 0.835 0.664



Calculated X-ray diffraction stick pattern of Ta4TlTe for Cu Kα (λ = 1.5418 Å), from a structure optimized by DFT (GGA-PBE).
Kinematic intensities with the Lorentz-polarization factor, no thermal factor.

Peak list (6 most intense, 15° ≤ 2θ ≤ 90°, in order of rising 2θ)
two_theta, I (rel.)
31.77, 23
37.44, 100
39.17, 44
60.38, 34
66.38, 29
79.87, 17

Crystal structure
Cell: 5.633 5.633 5.633 Å, 60.00 60.00 60.00°
Fractional coordinates of all 6 atoms:
Ta 0.376 0.376 0.376
Ta 0.376 0.376 0.871
Ta 0.376 0.871 0.376
Ta 0.871 0.376 0.376
Tl 0.750 0.750 0.750
Te 0.000 0.000 0.000



Calculated X-ray diffraction stick pattern of Ta2Tl2VTe6 for Cu Kα (λ = 1.5418 Å), from a structure optimized by DFT (GGA-PBE).
Kinematic intensities with the Lorentz-polarization factor, no thermal factor.

Peak list (6 most intense, 15° ≤ 2θ ≤ 90°, in order of rising 2θ)
two_theta, I (rel.)
15.38, 44
28.29, 65
33.42, 90
34.23, 100
47.35, 44
49.80, 31

Crystal structure
Cell: 6.724 6.724 8.614 Å, 91.28 91.28 120.98°
Fractional coordinates of all 11 atoms:
Ta 0.126 0.874 0.000
Ta 0.874 0.126 0.000
Tl 0.177 0.823 0.500
Tl 0.823 0.177 0.500
V 0.500 0.500 0.000
Te 0.157 0.506 0.822
Te 0.206 0.206 0.229
Te 0.494 0.843 0.178
Te 0.506 0.157 0.822
Te 0.794 0.794 0.771
Te 0.843 0.494 0.178



Calculated X-ray diffraction stick pattern of TaVTe6 for Cu Kα (λ = 1.5418 Å), from a structure optimized by DFT (GGA-PBE).
Kinematic intensities with the Lorentz-polarization factor, no thermal factor.

Peak list (6 most intense, 15° ≤ 2θ ≤ 90°, in order of rising 2θ)
two_theta, I (rel.)
29.52, 100
29.94, 14
32.05, 23
39.55, 21
42.73, 17
48.40, 21

Crystal structure
Cell: 6.298 12.697 5.969 Å, 90.00 90.37 90.00°
Fractional coordinates of all 16 atoms:
Ta 0.000 0.000 0.000
Ta 0.500 0.500 0.000
V 0.000 0.000 0.500
V 0.500 0.500 0.500
Te 0.140 0.500 0.259
Te 0.197 0.153 0.262
Te 0.197 0.847 0.262
Te 0.303 0.347 0.738
Te 0.303 0.653 0.738
Te 0.360 0.000 0.741
Te 0.640 0.000 0.259
Te 0.697 0.347 0.262
Te 0.697 0.653 0.262
Te 0.803 0.153 0.738
Te 0.803 0.847 0.738
Te 0.860 0.500 0.741



Calculated X-ray diffraction stick pattern of TaTeW for Cu Kα (λ = 1.5418 Å), from a structure optimized by DFT (GGA-PBE).
Kinematic intensities with the Lorentz-polarization factor, no thermal factor.

Peak list (6 most intense, 15° ≤ 2θ ≤ 90°, in order of rising 2θ)
two_theta, I (rel.)
33.21, 20
37.96, 100
39.61, 15
42.71, 22
54.38, 11
75.04, 14

Crystal structure
Cell: 12.703 3.374 5.396 Å, 90.00 90.00 90.00°
Fractional coordinates of all 12 atoms:
Ta 0.000 0.000 0.000
Ta 0.000 0.500 0.500
Ta 0.500 0.000 0.493
Ta 0.500 0.500 0.993
Te 0.330 0.000 0.839
Te 0.330 0.500 0.339
Te 0.670 0.000 0.839
Te 0.670 0.500 0.339
W 0.166 0.000 0.501
W 0.166 0.500 0.001
W 0.834 0.000 0.501
W 0.834 0.500 0.001



Calculated X-ray diffraction stick pattern of Zr2TaTe6 for Cu Kα (λ = 1.5418 Å), from a structure optimized by DFT (GGA-PBE).
Kinematic intensities with the Lorentz-polarization factor, no thermal factor.

Peak list (6 most intense, 15° ≤ 2θ ≤ 90°, in order of rising 2θ)
two_theta, I (rel.)
29.53, 100
37.02, 32
37.08, 21
46.94, 20
47.32, 14
56.54, 11

Crystal structure
Cell: 8.040 8.040 9.720 Å, 110.23 110.23 27.78°
Fractional coordinates of all 9 atoms:
Zr 0.166 0.166 0.332
Zr 0.834 0.834 0.668
Ta 0.500 0.500 0.000
Te 0.137 0.137 0.020
Te 0.190 0.190 0.644
Te 0.479 0.479 0.698
Te 0.521 0.521 0.302
Te 0.810 0.810 0.356
Te 0.863 0.863 0.980



Calculated X-ray diffraction stick pattern of YThTa4 for Cu Kα (λ = 1.5418 Å), from a structure optimized by DFT (GGA-PBE).
Kinematic intensities with the Lorentz-polarization factor, no thermal factor.

Peak list (6 most intense, 15° ≤ 2θ ≤ 90°, in order of rising 2θ)
two_theta, I (rel.)
31.14, 22
36.69, 100
38.38, 45
59.09, 34
64.93, 29
78.02, 18

Crystal structure
Cell: 5.744 5.744 5.744 Å, 60.00 60.00 60.00°
Fractional coordinates of all 6 atoms:
Y 0.000 0.000 0.000
Th 0.750 0.750 0.750
Ta 0.375 0.375 0.375
Ta 0.375 0.375 0.876
Ta 0.375 0.876 0.375
Ta 0.876 0.375 0.375



Calculated X-ray diffraction stick pattern of TaTi5 for Cu Kα (λ = 1.5418 Å), from a structure optimized by DFT (GGA-PBE).
Kinematic intensities with the Lorentz-polarization factor, no thermal factor.

Peak list (6 most intense, 15° ≤ 2θ ≤ 90°, in order of rising 2θ)
two_theta, I (rel.)
23.09, 17
31.55, 16
37.85, 100
43.17, 17
44.08, 16
44.70, 15

Crystal structure
Cell: 4.055 12.327 4.191 Å, 90.00 90.00 90.00°
Fractional coordinates of all 12 atoms:
Ta 0.000 0.000 0.000
Ta 0.500 0.500 0.000
Ti 0.000 0.168 0.500
Ti 0.000 0.332 0.000
Ti 0.000 0.500 0.500
Ti 0.000 0.668 0.000
Ti 0.000 0.832 0.500
Ti 0.500 0.000 0.500
Ti 0.500 0.168 0.000
Ti 0.500 0.332 0.500
Ti 0.500 0.668 0.500
Ti 0.500 0.832 0.000



Calculated X-ray diffraction stick pattern of Ta5Ti for Cu Kα (λ = 1.5418 Å), from a structure optimized by DFT (GGA-PBE).
Kinematic intensities with the Lorentz-polarization factor, no thermal factor.

Peak list (6 most intense, 15° ≤ 2θ ≤ 90°, in order of rising 2θ)
two_theta, I (rel.)
38.49, 100
38.66, 20
55.76, 14
69.50, 14
69.72, 14
69.84, 14

Crystal structure
Cell: 4.658 14.005 3.321 Å, 90.00 90.00 90.00°
Fractional coordinates of all 12 atoms:
Ta 0.000 0.000 0.000
Ta 0.000 0.164 0.500
Ta 0.000 0.332 0.000
Ta 0.000 0.668 0.000
Ta 0.000 0.836 0.500
Ta 0.500 0.168 0.000
Ta 0.500 0.336 0.500
Ta 0.500 0.500 0.000
Ta 0.500 0.664 0.500
Ta 0.500 0.832 0.000
Ti 0.000 0.500 0.500
Ti 0.500 0.000 0.500



Calculated X-ray diffraction stick pattern of Ta5Ti for Cu Kα (λ = 1.5418 Å), from a structure optimized by DFT (GGA-PBE).
Kinematic intensities with the Lorentz-polarization factor, no thermal factor.

Peak list (6 most intense, 15° ≤ 2θ ≤ 90°, in order of rising 2θ)
two_theta, I (rel.)
38.33, 100
38.46, 50
38.63, 97
38.80, 48
69.41, 18
69.68, 26

Crystal structure
Cell: 4.700 5.739 8.520 Å, 70.42 89.68 89.74°
Fractional coordinates of all 12 atoms:
Ta 0.249 0.119 0.418
Ta 0.250 0.125 0.751
Ta 0.250 0.131 0.084
Ta 0.250 0.627 0.081
Ta 0.251 0.619 0.416
Ta 0.749 0.381 0.584
Ta 0.750 0.373 0.919
Ta 0.750 0.869 0.916
Ta 0.750 0.875 0.249
Ta 0.751 0.881 0.582
Ti 0.251 0.626 0.748
Ti 0.749 0.374 0.252



Calculated X-ray diffraction stick pattern of Ta2TiW2 for Cu Kα (λ = 1.5418 Å), from a structure optimized by DFT (GGA-PBE).
Kinematic intensities with the Lorentz-polarization factor, no thermal factor.

Peak list (6 most intense, 15° ≤ 2θ ≤ 90°, in order of rising 2θ)
two_theta, I (rel.)
26.15, 17
31.49, 24
36.13, 42
40.53, 100
43.81, 23
67.94, 32

Crystal structure
Cell: 7.321 7.321 4.971 Å, 90.00 90.00 137.15°
Fractional coordinates of all 10 atoms:
Ta 0.066 0.934 0.750
Ta 0.316 0.684 0.250
Ta 0.684 0.316 0.750
Ta 0.934 0.066 0.250
Ti 0.500 0.500 0.000
Ti 0.500 0.500 0.500
W 0.099 0.390 0.750
W 0.390 0.099 0.250
W 0.610 0.901 0.750
W 0.901 0.610 0.250



Calculated X-ray diffraction stick pattern of Ta2TiW2 for Cu Kα (λ = 1.5418 Å), from a structure optimized by DFT (GGA-PBE).
Kinematic intensities with the Lorentz-polarization factor, no thermal factor.

Peak list (6 most intense, 15° ≤ 2θ ≤ 90°, in order of rising 2θ)
two_theta, I (rel.)
15.15, 56
35.62, 54
38.91, 27
39.02, 38
40.70, 100
41.40, 96

Crystal structure
Cell: 6.743 6.743 6.743 Å, 116.40 80.49 136.10°
Fractional coordinates of all 10 atoms:
Ta 0.078 0.156 0.234
Ta 0.422 0.656 0.078
Ta 0.578 0.344 0.922
Ta 0.922 0.844 0.766
Ti 0.250 0.750 0.500
Ti 0.750 0.250 0.500
W 0.208 0.833 0.041
W 0.292 0.333 0.625
W 0.708 0.667 0.375
W 0.792 0.167 0.959



Calculated X-ray diffraction stick pattern of Ta2Ti2W5 for Cu Kα (λ = 1.5418 Å), from a structure optimized by DFT (GGA-PBE).
Kinematic intensities with the Lorentz-polarization factor, no thermal factor.

Peak list (6 most intense, 15° ≤ 2θ ≤ 90°, in order of rising 2θ)
two_theta, I (rel.)
17.66, 44
35.76, 49
39.04, 100
39.43, 37
39.58, 84
40.62, 52

Crystal structure
Cell: 7.051 7.051 7.782 Å, 102.42 102.42 59.37°
Fractional coordinates of all 18 atoms:
Ta 0.000 0.000 0.000
Ta 0.314 0.161 0.274
Ta 0.604 0.396 0.500
Ta 0.839 0.686 0.726
Ti 0.074 0.201 0.663
Ti 0.259 0.512 0.885
Ti 0.488 0.741 0.115
Ti 0.799 0.926 0.337
W 0.004 0.516 0.079
W 0.148 0.511 0.508
W 0.236 0.698 0.281
W 0.302 0.764 0.719
W 0.484 0.996 0.921
W 0.489 0.852 0.492
W 0.571 0.157 0.693
W 0.577 0.288 0.127
W 0.712 0.423 0.873
W 0.843 0.429 0.307